# Sr2NiTeO6
Calculated PXRD pattern, CuKα. Input: DFT lattice parameters and positions (PBE+U).

The 10 most intense peaks (10 to 90 degrees two-theta), in order of rising 2θ:
31.3 deg, I = 238, hkl 2 0 -2
31.6 deg, I = 1000, hkl 3 1 -1
31.7 deg, I = 245, hkl 0 2 0
45.2 deg, I = 328, hkl 2 2 -2
45.5 deg, I = 152, hkl 4 0 0
55.8 deg, I = 106, hkl 1 1 -3
56.0 deg, I = 110, hkl 5 1 -3
56.4 deg, I = 240, hkl 3 3 -1
56.6 deg, I = 105, hkl 4 2 0
66.2 deg, I = 139, hkl 0 4 0

Structure:
abc: 9.7871 5.6453 5.7150
angles: 90.00 125.51 90.00
Space group C2/m (No. 12)
Symmetry-distinct sites (fractional):
1 Sr 0.2502 0.0000 0.2460
2 Ni 0.0000 0.0000 0.5000
3 Te 0.0000 0.5000 0.0000
4 O 0.0340 0.2575 0.7952
5 O 0.2404 0.5000 0.3033